# Nd2ZnRu
Computed X-ray diffraction stick pattern, Cu Kα (weighted mean of Kα1 and Kα2). Input: a GGA-PBE-relaxed structure.

Cell and atoms:
Cell: 7.1973 7.1973 7.1973 Å, 90.00 90.00 90.00°
Positions (direct):
Nd (0.2500, 0.2500, 0.2500)
Nd (0.2500, 0.2500, 0.7500)
Nd (0.2500, 0.7500, 0.2500)
Nd (0.2500, 0.7500, 0.7500)
Nd (0.7500, 0.2500, 0.2500)
Nd (0.7500, 0.2500, 0.7500)
Nd (0.7500, 0.7500, 0.2500)
Nd (0.7500, 0.7500, 0.7500)
Zn (0.0000, 0.0000, 0.0000)
Zn (0.0000, 0.5000, 0.5000)
Zn (0.5000, 0.0000, 0.5000)
Zn (0.5000, 0.5000, 0.0000)
Ru (0.0000, 0.0000, 0.5000)
Ru (0.0000, 0.5000, 0.0000)
Ru (0.5000, 0.0000, 0.0000)
Ru (0.5000, 0.5000, 0.5000)

Principal peaks in the range 15° ≤ 2θ ≤ 90°, low angle first:
(hkl)  2θ (°)  d (Å)  I_rel
1 1 1  21.38  4.155  1
2 0 0  24.74  3.599  7
2 2 0  35.27  2.545  100
2 2 2  43.56  2.078  2
4 0 0  50.74  1.799  18
4 2 0  57.24  1.609  3
4 2 2  63.30  1.469  36
4 4 0  74.59  1.272  11
6 0 0  79.98  1.200  2
6 2 0  85.29  1.138  16